Diffraction record for KH3Au. The powder XRD pattern is computed, not measured: it uses a cell relaxed with GGA-PBE and Cu Kα (weighted mean of Kα1 and Kα2).

Structural model:
a = 6.004 Å, b = 6.004 Å, c = 3.783 Å
α = 90.00°, β = 90.00°, γ = 90.00°
Fractional coordinates of all 10 atoms:
K: 0.000 0.000 0.000
K: 0.500 0.500 0.000
H: 0.000 0.500 0.000
H: 0.198 0.302 0.500
H: 0.302 0.802 0.500
H: 0.500 0.000 0.000
H: 0.698 0.198 0.500
H: 0.802 0.698 0.500
Au: 0.000 0.500 0.500
Au: 0.500 0.000 0.500

Largest 10 diffraction maxima, low angle first, 10° ≤ 2θ ≤ 80°:
d (Å)	intensity
4.245	59.5
3.783	22.6
3.002	58.9
2.824	100.0
2.351	25.7
2.123	22.9
1.899	14.7
1.851	13.6
1.697	43.7
1.600	18.1

***

Diffraction record for CePaTeAs. The powder XRD pattern is computed, not measured: it uses a cell relaxed with GGA-PBE and Cu Kα (weighted mean of Kα1 and Kα2).

Structural model:
a = 7.977 Å, b = 7.977 Å, c = 7.977 Å
α = 30.01°, β = 30.01°, γ = 30.01°
Fractional coordinates of all 4 atoms:
Ce: 0.000 0.000 0.000
Pa: 0.812 0.812 0.812
Te: 0.235 0.235 0.235
As: 0.409 0.409 0.409

Largest 10 diffraction maxima, low angle first, 10° ≤ 2θ ≤ 80°:
d (Å)	intensity
3.534	20.1
3.413	32.8
3.031	25.6
2.816	100.0
2.410	31.7
2.065	48.3
1.925	21.0
1.665	21.2
1.399	17.8
1.296	18.5

***

Diffraction record for K2Ga2Ir. The powder XRD pattern is computed, not measured: it uses a cell relaxed with GGA-PBE and Cu Kα (weighted mean of Kα1 and Kα2).

Structural model:
a = 6.837 Å, b = 6.837 Å, c = 6.069 Å
α = 90.00°, β = 90.00°, γ = 90.00°
Fractional coordinates of all 10 atoms:
K: 0.173 0.327 0.000
K: 0.327 0.827 0.000
K: 0.673 0.173 0.000
K: 0.827 0.673 0.000
Ga: 0.219 0.719 0.500
Ga: 0.281 0.219 0.500
Ga: 0.719 0.781 0.500
Ga: 0.781 0.281 0.500
Ir: 0.000 0.000 0.500
Ir: 0.500 0.500 0.500

Largest 10 diffraction maxima, low angle first, 10° ≤ 2θ ≤ 80°:
d (Å)	intensity
6.069	100.0
4.835	51.7
3.781	86.6
3.034	54.0
2.731	24.3
2.417	38.4
2.246	44.7
2.162	27.7
1.891	36.7
1.761	29.3

***

Diffraction record for K14Tl21Cd9. The powder XRD pattern is computed, not measured: it uses a cell relaxed with GGA-PBE and Cu Kα (weighted mean of Kα1 and Kα2).

Structural model:
a = 10.139 Å, b = 10.139 Å, c = 17.461 Å
α = 90.00°, β = 90.00°, γ = 120.00°
Fractional coordinates of all 44 atoms:
K: 0.000 0.387 0.184
K: 0.000 0.387 0.816
K: 0.000 0.750 0.323
K: 0.000 0.750 0.677
K: 0.250 0.250 0.323
K: 0.250 0.250 0.677
K: 0.333 0.667 0.000
K: 0.387 0.000 0.184
K: 0.387 0.000 0.816
K: 0.613 0.613 0.184
K: 0.613 0.613 0.816
K: 0.667 0.333 0.000
K: 0.750 0.000 0.323
K: 0.750 0.000 0.677
Tl: 0.000 0.000 0.153
Tl: 0.000 0.000 0.847
Tl: 0.000 0.222 0.000
Tl: 0.000 0.400 0.390
Tl: 0.000 0.400 0.610
Tl: 0.000 0.704 0.094
Tl: 0.000 0.704 0.906
Tl: 0.222 0.000 0.000
Tl: 0.296 0.296 0.094
Tl: 0.296 0.296 0.906
Tl: 0.333 0.667 0.334
Tl: 0.333 0.667 0.666
Tl: 0.400 0.000 0.390
Tl: 0.400 0.000 0.610
Tl: 0.600 0.600 0.390
Tl: 0.600 0.600 0.610
Tl: 0.667 0.333 0.334
Tl: 0.667 0.333 0.666
Tl: 0.704 0.000 0.094
Tl: 0.704 0.000 0.906
Tl: 0.778 0.778 0.000
Cd: 0.000 0.165 0.500
Cd: 0.165 0.000 0.500
Cd: 0.173 0.700 0.500
Cd: 0.300 0.473 0.500
Cd: 0.473 0.300 0.500
Cd: 0.527 0.827 0.500
Cd: 0.700 0.173 0.500
Cd: 0.827 0.527 0.500
Cd: 0.835 0.835 0.500

Largest 10 diffraction maxima, low angle first, 10° ≤ 2θ ≤ 80°:
d (Å)	intensity
8.734	68.2
7.845	100.0
4.863	58.1
2.927	50.9
2.883	46.8
2.876	79.3
2.642	53.0
2.524	33.3
2.433	83.5
2.412	32.6

***

Diffraction record for LaSn4. The powder XRD pattern is computed, not measured: it uses a cell relaxed with GGA-PBE and Cu Kα (weighted mean of Kα1 and Kα2).

Structural model:
a = 9.847 Å, b = 9.847 Å, c = 9.847 Å
α = 152.26°, β = 140.35°, γ = 49.08°
Fractional coordinates of all 10 atoms:
La: 0.349 0.099 0.250
La: 0.651 0.901 0.750
Sn: 0.000 0.500 0.500
Sn: 0.155 0.905 0.250
Sn: 0.172 0.694 0.478
Sn: 0.283 0.306 0.978
Sn: 0.500 0.500 0.000
Sn: 0.717 0.694 0.022
Sn: 0.828 0.306 0.522
Sn: 0.845 0.095 0.750

Largest 10 diffraction maxima, low angle first, 10° ≤ 2θ ≤ 80°:
d (Å)	intensity
2.854	100.0
2.696	76.8
2.677	28.4
2.361	30.3
2.226	28.2
1.792	12.4
1.771	17.0
1.620	21.3
1.441	36.1
1.398	15.9

***

Diffraction record for KTl4Cd2Ga. The powder XRD pattern is computed, not measured: it uses a cell relaxed with GGA-PBE and Cu Kα (weighted mean of Kα1 and Kα2).

Structural model:
a = 10.308 Å, b = 10.308 Å, c = 10.308 Å
α = 29.95°, β = 29.95°, γ = 29.95°
Fractional coordinates of all 8 atoms:
K: 0.000 0.000 0.000
Tl: 0.133 0.133 0.133
Tl: 0.400 0.400 0.400
Tl: 0.600 0.600 0.600
Tl: 0.867 0.867 0.867
Cd: 0.245 0.245 0.245
Cd: 0.755 0.755 0.755
Ga: 0.500 0.500 0.500

Largest 10 diffraction maxima, low angle first, 10° ≤ 2θ ≤ 80°:
d (Å)	intensity
3.912	27.1
3.113	19.1
2.882	65.2
2.664	100.0
2.320	34.6
1.956	21.3
1.749	14.9
1.577	21.2
1.538	18.7
1.462	16.6

***

Diffraction record for La3AuC. The powder XRD pattern is computed, not measured: it uses a cell relaxed with GGA-PBE and Cu Kα (weighted mean of Kα1 and Kα2).

Structural model:
a = 3.881 Å, b = 7.691 Å, c = 9.476 Å
α = 86.96°, β = 89.96°, γ = 75.40°
Fractional coordinates of all 10 atoms:
La: 0.044 0.412 0.212
La: 0.245 0.009 0.813
La: 0.352 0.795 0.480
La: 0.648 0.205 0.520
La: 0.755 0.991 0.187
La: 0.956 0.588 0.788
Au: 0.402 0.696 0.059
Au: 0.598 0.304 0.941
C: 0.197 0.109 0.346
C: 0.803 0.891 0.654

Largest 10 diffraction maxima, low angle first, 10° ≤ 2θ ≤ 80°:
d (Å)	intensity
3.055	48.3
3.003	58.3
2.961	100.0
2.936	39.5
2.922	52.6
2.879	79.0
2.848	82.6
2.607	63.4
2.363	78.4
1.940	39.9

***

Diffraction record for Nd2Dy2Ho7. The powder XRD pattern is computed, not measured: it uses a cell relaxed with GGA-PBE and Cu Kα (weighted mean of Kα1 and Kα2).

Structural model:
a = 8.039 Å, b = 8.039 Å, c = 6.067 Å
α = 106.33°, β = 106.33°, γ = 91.54°
Fractional coordinates of all 11 atoms:
Nd: 0.092 0.092 0.307
Nd: 0.908 0.908 0.693
Dy: 0.287 0.713 0.000
Dy: 0.713 0.287 0.000
Ho: 0.088 0.563 0.322
Ho: 0.271 0.271 0.921
Ho: 0.437 0.912 0.678
Ho: 0.500 0.500 0.500
Ho: 0.563 0.088 0.322
Ho: 0.729 0.729 0.079
Ho: 0.912 0.437 0.678

Largest 10 diffraction maxima, low angle first, 10° ≤ 2θ ≤ 80°:
d (Å)	intensity
3.472	22.4
2.905	27.6
2.880	48.4
2.798	27.2
2.786	100.0
2.661	39.2
2.642	29.9
2.007	16.0
1.828	13.4
1.644	14.3

***

Diffraction record for CaAc2Ir. The powder XRD pattern is computed, not measured: it uses a cell relaxed with GGA-PBE and Cu Kα (weighted mean of Kα1 and Kα2).

Structural model:
a = 7.351 Å, b = 6.833 Å, c = 12.456 Å
α = 90.00°, β = 90.00°, γ = 90.00°
Fractional coordinates of all 16 atoms:
Ca: 0.090 0.250 0.250
Ca: 0.410 0.750 0.250
Ca: 0.590 0.250 0.750
Ca: 0.910 0.750 0.750
Ac: 0.080 0.234 0.582
Ac: 0.080 0.266 0.918
Ac: 0.420 0.734 0.918
Ac: 0.420 0.766 0.582
Ac: 0.580 0.234 0.418
Ac: 0.580 0.266 0.082
Ac: 0.920 0.734 0.082
Ac: 0.920 0.766 0.418
Ir: 0.250 0.000 0.412
Ir: 0.250 0.500 0.088
Ir: 0.750 0.000 0.588
Ir: 0.750 0.500 0.912

Largest 10 diffraction maxima, low angle first, 10° ≤ 2θ ≤ 80°:
d (Å)	intensity
6.228	47.8
5.991	49.3
4.644	31.9
3.901	21.1
3.237	48.5
3.195	100.0
2.502	28.6
2.483	50.3
2.110	40.6
1.927	22.7

***

Diffraction record for Y3Sb2O. The powder XRD pattern is computed, not measured: it uses a cell relaxed with GGA-PBE and Cu Kα (weighted mean of Kα1 and Kα2).

Structural model:
a = 6.955 Å, b = 6.955 Å, c = 6.487 Å
α = 90.00°, β = 90.00°, γ = 72.42°
Fractional coordinates of all 12 atoms:
Y: 0.147 0.853 0.500
Y: 0.346 0.349 0.196
Y: 0.349 0.346 0.696
Y: 0.651 0.654 0.196
Y: 0.654 0.651 0.696
Y: 0.853 0.147 0.000
Sb: 0.024 0.669 0.937
Sb: 0.331 0.976 0.937
Sb: 0.669 0.024 0.437
Sb: 0.976 0.331 0.437
O: 0.422 0.578 0.440
O: 0.578 0.422 0.940

Largest 10 diffraction maxima, low angle first, 10° ≤ 2θ ≤ 80°:
d (Å)	intensity
3.015	100.0
2.952	21.4
2.914	42.2
2.661	46.1
2.546	43.8
2.348	38.7
2.210	25.4
2.182	22.5
1.825	19.6
1.384	19.3

***

Diffraction record for In2BiIO8. The powder XRD pattern is computed, not measured: it uses a cell relaxed with GGA-PBE and Cu Kα (weighted mean of Kα1 and Kα2).

Structural model:
a = 4.959 Å, b = 4.959 Å, c = 6.842 Å
α = 90.00°, β = 90.00°, γ = 90.81°
Fractional coordinates of all 12 atoms:
In: 0.000 0.000 0.248
In: 0.000 0.000 0.752
Bi: 0.500 0.500 0.500
I: 0.500 0.500 0.000
O: 0.183 0.183 0.500
O: 0.216 0.216 0.000
O: 0.315 0.685 0.207
O: 0.315 0.685 0.793
O: 0.685 0.315 0.207
O: 0.685 0.315 0.793
O: 0.784 0.784 0.000
O: 0.817 0.817 0.500

Largest 10 diffraction maxima, low angle first, 10° ≤ 2θ ≤ 80°:
d (Å)	intensity
3.531	57.6
3.481	54.1
2.816	100.0
2.479	28.5
1.868	39.4
1.853	37.9
1.539	10.7
1.535	9.3
1.488	22.1
1.408	11.4

***

Diffraction record for Na2TaVN4. The powder XRD pattern is computed, not measured: it uses a cell relaxed with GGA-PBE and Cu Kα (weighted mean of Kα1 and Kα2).

Structural model:
a = 6.484 Å, b = 6.558 Å, c = 5.528 Å
α = 90.00°, β = 90.00°, γ = 90.00°
Fractional coordinates of all 16 atoms:
Na: 0.250 0.161 0.000
Na: 0.250 0.839 0.500
Na: 0.750 0.161 0.000
Na: 0.750 0.839 0.500
Ta: 0.000 0.356 0.485
Ta: 0.500 0.644 0.985
V: 0.000 0.657 0.984
V: 0.500 0.343 0.484
N: 0.000 0.415 0.140
N: 0.000 0.610 0.664
N: 0.243 0.795 0.051
N: 0.257 0.205 0.551
N: 0.500 0.390 0.164
N: 0.500 0.585 0.640
N: 0.743 0.205 0.551
N: 0.757 0.795 0.051

Largest 10 diffraction maxima, low angle first, 10° ≤ 2θ ≤ 80°:
d (Å)	intensity
6.558	90.0
4.611	40.7
4.227	100.0
4.206	57.7
2.906	58.3
2.820	80.1
2.764	54.8
2.572	81.5
2.128	39.9
1.515	39.6

***

> What is the formula in the sixth record?

KTl4Cd2Ga